Diffraction record for MnV2Pb2O8. The powder XRD pattern is simulated, not measured: it uses a crystal structure in Alexandria, relaxed with PBE+U and Cu Kα X-rays.

Main lines, low angle first (15° ≤ 2θ ≤ 90°):
h k l	2θ/deg	I_rel
0 1 1	17.42	253
1 0 1	17.93	280
1 1 1	22.75	262
2 1 -1	27.67	1000
0 2 0	28.01	781
0 2 1	29.94	280
1 1 2	30.42	841
1 0 -3	30.97	458
1 2 -1	31.31	236
1 2 -3	42.22	297

Structural model:
a = 7.5986 Å, b = 6.3801 Å, c = 8.7362 Å
α = 90.00°, β = 104.89°, γ = 90.00°
Fractional positions:
Mn  0.1615  0.0000  0.0275
Mn  0.8385  0.5000  0.9725
V  0.0670  0.2876  0.3250
V  0.4919  0.8161  0.8487
V  0.5081  0.3161  0.1513
V  0.9330  0.7876  0.6750
Pb  0.2163  0.3178  0.7285
Pb  0.3529  0.7178  0.4546
Pb  0.6471  0.2178  0.5454
Pb  0.7837  0.8178  0.2715
O  0.0024  0.0086  0.7953
O  0.0646  0.0513  0.2193
O  0.0662  0.7470  0.5455
O  0.2853  0.2939  0.0259
O  0.2861  0.3452  0.4458
O  0.3435  0.8060  0.9669
O  0.4494  0.0361  0.7247
O  0.4541  0.5957  0.7206
O  0.5459  0.0957  0.2794
O  0.5506  0.5361  0.2753
O  0.6565  0.3060  0.0331
O  0.7139  0.8452  0.5542
O  0.7147  0.7939  0.9741
O  0.9338  0.2470  0.4545
O  0.9354  0.5513  0.7807
O  0.9976  0.5086  0.2047